[1]
Simulated X-ray diffraction stick pattern
Compound: LaS4N5O16
Radiation: Cu Kα, 1.54184 Å
Structure: a PBE-relaxed structure

Main lines, in order of rising 2θ (2θ from 5° to 70°):
| 2θ/deg | Rel. int. |
| --- | --- |
| 7.64 | 33 |
| 12.10 | 100 |
| 12.63 | 66 |
| 12.73 | 30 |
| 16.73 | 43 |
| 26.48 | 67 |

Atomic structure:
```
data_LaS4N5O16
_cell_length_a 8.2970
_cell_length_b 9.4833
_cell_length_c 12.2804
_cell_angle_alpha 82.84
_cell_angle_beta 70.45
_cell_angle_gamma 68.28
_space_group_name_H-M_alt 'P 1'
_space_group_IT_number 1
_space_group_name_Hall 'P 1'
loop_
_atom_site_label
_atom_site_type_symbol
_atom_site_fract_x
_atom_site_fract_y
_atom_site_fract_z
_atom_site_occupancy
La1 La 0.0780 0.2499 0.3440 1
La2 La 0.9220 0.7501 0.6560 1
S1 S 0.1050 0.3809 0.6217 1
S2 S 0.1139 0.6674 0.8535 1
S3 S 0.2263 0.8805 0.3786 1
S4 S 0.4659 0.1681 0.1476 1
S5 S 0.5341 0.8319 0.8524 1
S6 S 0.7737 0.1195 0.6214 1
S7 S 0.8861 0.3326 0.1465 1
S8 S 0.8950 0.6191 0.3783 1
N1 N 0.1032 0.9422 0.1102 1
N2 N 0.2876 0.5567 0.1096 1
N3 N 0.3039 0.2515 0.8891 1
N4 N 0.3302 0.9789 0.6344 1
N5 N 0.4624 0.4808 0.3666 1
N6 N 0.5376 0.5192 0.6334 1
N7 N 0.6698 0.0211 0.3656 1
N8 N 0.6961 0.7485 0.1109 1
N9 N 0.7124 0.4433 0.8904 1
N10 N 0.8968 0.0578 0.8898 1
O1 O 0.0216 0.3942 0.1550 1
O2 O 0.0487 0.7535 0.9632 1
O3 O 0.0600 0.9785 0.3462 1
O4 O 0.0931 0.5211 0.3472 1
O5 O 0.1386 0.2726 0.7161 1
O6 O 0.1507 0.7633 0.7497 1
O7 O 0.1581 0.2945 0.5149 1
O8 O 0.1716 0.7946 0.4854 1
O9 O 0.2089 0.4855 0.6027 1
O10 O 0.2850 0.5468 0.8652 1
O11 O 0.3108 0.9849 0.3986 1
O12 O 0.3224 0.1064 0.1553 1
O13 O 0.3514 0.9525 0.8653 1
O14 O 0.3543 0.7724 0.2844 1
O15 O 0.3996 0.2624 0.2522 1
O16 O 0.4903 0.7439 0.9612 1
O17 O 0.5097 0.2561 0.0388 1
O18 O 0.6004 0.7376 0.7478 1
O19 O 0.6457 0.2276 0.7156 1
O20 O 0.6486 0.0475 0.1347 1
O21 O 0.6776 0.8936 0.8447 1
O22 O 0.6892 0.0151 0.6014 1
O23 O 0.7150 0.4532 0.1348 1
O24 O 0.7911 0.5145 0.3973 1
O25 O 0.8284 0.2054 0.5146 1
O26 O 0.8419 0.7055 0.4851 1
O27 O 0.8493 0.2367 0.2503 1
O28 O 0.8614 0.7274 0.2839 1
O29 O 0.9069 0.4789 0.6528 1
O30 O 0.9400 0.0215 0.6538 1
O31 O 0.9513 0.2465 0.0368 1
O32 O 0.9784 0.6058 0.8450 1
```


[2]
Simulated X-ray diffraction stick pattern
Compound: La8Si5N14O
Radiation: Cu Kα, 1.54184 Å
Structure: a PBE-relaxed structure

Main lines, in order of rising 2θ (2θ from 5° to 70°):
| 2θ/deg | Rel. int. |
| --- | --- |
| 26.46 | 59 |
| 28.25 | 67 |
| 29.90 | 48 |
| 29.97 | 45 |
| 30.98 | 100 |
| 31.24 | 41 |

Atomic structure:
```
data_La8Si5N14O
_cell_length_a 5.7748
_cell_length_b 11.4504
_cell_length_c 13.5155
_cell_angle_alpha 67.81
_cell_angle_beta 89.99
_cell_angle_gamma 89.12
_space_group_name_H-M_alt 'P 1'
_space_group_IT_number 1
_space_group_name_Hall 'P 1'
loop_
_atom_site_label
_atom_site_type_symbol
_atom_site_fract_x
_atom_site_fract_y
_atom_site_fract_z
_atom_site_occupancy
La1 La 0.1820 0.3942 0.4153 1
La2 La 0.2414 0.0834 0.1568 1
La3 La 0.2450 0.5025 0.0954 1
La4 La 0.2531 0.8868 0.5148 1
La5 La 0.2580 0.7112 0.7991 1
La6 La 0.2625 0.0815 0.6717 1
La7 La 0.2971 0.8156 0.0403 1
La8 La 0.3051 0.4014 0.7220 1
La9 La 0.6949 0.5986 0.2780 1
La10 La 0.7029 0.1844 0.9597 1
La11 La 0.7375 0.9185 0.3283 1
La12 La 0.7420 0.2888 0.2009 1
La13 La 0.7469 0.1132 0.4852 1
La14 La 0.7550 0.4975 0.9046 1
La15 La 0.7586 0.9166 0.8432 1
La16 La 0.8180 0.6058 0.5847 1
Si1 Si 0.1677 0.0933 0.8928 1
Si2 Si 0.1911 0.7218 0.2941 1
Si3 Si 0.2331 0.1637 0.3496 1
Si4 Si 0.2348 0.3347 0.9671 1
Si5 Si 0.3095 0.6274 0.4803 1
Si6 Si 0.6905 0.3726 0.5197 1
Si7 Si 0.7652 0.6653 0.0329 1
Si8 Si 0.7669 0.8363 0.6504 1
Si9 Si 0.8089 0.2782 0.7059 1
Si10 Si 0.8323 0.9067 0.1072 1
N1 N 0.0000 0.0000 0.0000 1
N2 N 0.0020 0.0920 0.3153 1
N3 N 0.0154 0.6992 0.9560 1
N4 N 0.0368 0.8545 0.2125 1
N5 N 0.0411 0.6223 0.4107 1
N6 N 0.1986 0.1547 0.4797 1
N7 N 0.2256 0.4835 0.8657 1
N8 N 0.2592 0.6452 0.5998 1
N9 N 0.2800 0.2189 0.9142 1
N10 N 0.2848 0.6231 0.2286 1
N11 N 0.3876 0.0025 0.8696 1
N12 N 0.4123 0.7582 0.3705 1
N13 N 0.4770 0.3203 0.0489 1
N14 N 0.4877 0.0899 0.3362 1
N15 N 0.5000 0.5000 0.5000 1
N16 N 0.5123 0.9101 0.6638 1
N17 N 0.5230 0.6797 0.9511 1
N18 N 0.5877 0.2418 0.6295 1
N19 N 0.6124 0.9975 0.1304 1
N20 N 0.7152 0.3769 0.7714 1
N21 N 0.7200 0.7811 0.0858 1
N22 N 0.7408 0.3548 0.4002 1
N23 N 0.7744 0.5165 0.1343 1
N24 N 0.8014 0.8453 0.5203 1
N25 N 0.9589 0.3777 0.5893 1
N26 N 0.9632 0.1455 0.7875 1
N27 N 0.9846 0.3008 0.0440 1
N28 N 0.9980 0.9080 0.6847 1
O1 O 0.2319 0.3194 0.2663 1
O2 O 0.7681 0.6806 0.7336 1
```


[3]
Simulated X-ray diffraction stick pattern
Compound: SrLaTa2N3O3
Radiation: Cu Kα, 1.54184 Å
Structure: a PBE-relaxed structure

Main lines, in order of rising 2θ (2θ from 5° to 70°):
| 2θ/deg | Rel. int. |
| --- | --- |
| 30.82 | 70 |
| 31.16 | 100 |
| 31.26 | 32 |
| 54.94 | 28 |
| 55.12 | 20 |
| 55.72 | 27 |

Atomic structure:
```
data_SrLaTa2N3O3
_cell_length_a 5.7237
_cell_length_b 5.7332
_cell_length_c 8.2324
_cell_angle_alpha 89.98
_cell_angle_beta 89.95
_cell_angle_gamma 88.90
_space_group_name_H-M_alt 'P 1'
_space_group_IT_number 1
_space_group_name_Hall 'P 1'
loop_
_atom_site_label
_atom_site_type_symbol
_atom_site_fract_x
_atom_site_fract_y
_atom_site_fract_z
_atom_site_occupancy
Sr1 Sr 0.0000 0.0000 0.0000 1
Sr2 Sr 0.4971 0.5303 0.4951 1
La1 La 0.4999 0.4943 0.9964 1
La2 La 0.9945 0.0441 0.5011 1
Ta1 Ta 0.0035 0.5251 0.7522 1
Ta2 Ta 0.4907 0.0043 0.7544 1
Ta3 Ta 0.5018 0.0241 0.2547 1
Ta4 Ta 0.9901 0.5083 0.2518 1
N1 N 0.0394 0.4871 0.4874 1
N2 N 0.2704 0.7335 0.7619 1
N3 N 0.4207 0.0205 0.4865 1
N4 N 0.5392 0.0084 0.9873 1
N5 N 0.7257 0.2826 0.2580 1
N6 N 0.9228 0.5326 0.9870 1
O1 O 0.2137 0.2377 0.7720 1
O2 O 0.2235 0.2398 0.2043 1
O3 O 0.2816 0.7247 0.2072 1
O4 O 0.7152 0.2878 0.7130 1
O5 O 0.7709 0.7955 0.6988 1
O6 O 0.7779 0.7950 0.2784 1
```


[4]
Simulated X-ray diffraction stick pattern
Compound: LaTaN2O
Radiation: Cu Kα, 1.54184 Å
Structure: a PBE-relaxed structure

Main lines, in order of rising 2θ (2θ from 5° to 70°):
| 2θ/deg | Rel. int. |
| --- | --- |
| 30.91 | 100 |
| 31.02 | 47 |
| 31.22 | 47 |
| 31.56 | 99 |
| 43.62 | 27 |
| 44.93 | 23 |

Atomic structure:
```
data_LaTaN2O
_cell_length_a 5.6703
_cell_length_b 5.6703
_cell_length_c 5.7346
_cell_angle_alpha 119.00
_cell_angle_beta 119.00
_cell_angle_gamma 90.74
_space_group_name_H-M_alt 'P 1'
_space_group_IT_number 1
_space_group_name_Hall 'P 1'
loop_
_atom_site_label
_atom_site_type_symbol
_atom_site_fract_x
_atom_site_fract_y
_atom_site_fract_z
_atom_site_occupancy
La1 La 0.2496 0.2496 0.0069 1
La2 La 0.7504 0.7504 0.9931 1
Ta1 Ta 0.0000 0.5000 0.5000 1
Ta2 Ta 0.5000 0.0000 0.5000 1
N1 N 0.2312 0.7688 0.0000 1
N2 N 0.3255 0.3255 0.5315 1
N3 N 0.6745 0.6745 0.4685 1
N4 N 0.7688 0.2312 0.0000 1
O1 O 0.1891 0.8109 0.5000 1
O2 O 0.8109 0.1891 0.5000 1
```